Record 1
This entry pairs a crystal structure of Sr3Si3Au8 with its computed powder diffraction line list. Radiation: Cu Ka. Structure: a GGA-PBE-relaxed structure.
Peak positions follow from Bragg's law for the DFT cell and can differ from measured ones.

Crystal structure
```
Sr3Si3Au8
1.0
8.4890 -2.2970 0.0000
8.4890 2.2970 0.0000
-4.7993 0.0000 7.7248
Sr Si Au
3 3 8
Cartesian
0.0000 0.0000 0.0000 Sr
3.6551 0.0000 1.9809 Sr
8.5237 0.0000 5.7440 Sr
-2.3996 0.0000 3.8624 Si
2.4246 0.0000 5.2088 Si
9.7542 0.0000 2.5160 Si
-2.0273 0.0000 6.3323 Au
0.4822 0.0000 3.3440 Au
1.4495 0.0000 7.4892 Au
5.0204 0.0000 5.0010 Au
7.1584 0.0000 2.7238 Au
10.7293 0.0000 0.2356 Au
11.6966 0.0000 4.3808 Au
14.2061 0.0000 1.3925 Au
```

The 12 most intense peaks (10 to 80 degrees two-theta), in order of falling intensity:
two_theta	I (rel.)
33.5	100
33.0	94
39.2	56
30.1	34
19.5	28
37.6	27
43.5	24
50.2	17
44.9	17
45.0	16
28.3	15
67.2	15

Record 2
This entry pairs a crystal structure of SrSiAu6 with its computed powder diffraction line list. Radiation: Cu Ka. Structure: a GGA-PBE-relaxed structure.
Peak positions follow from Bragg's law for the DFT cell and can differ from measured ones.

Crystal structure
```
SrSiAu6
1.0
3.3950 1.9601 4.4520
-3.3950 1.9601 4.4520
0.0000 -3.9202 4.4520
Sr Si Au
1 1 6
Cartesian
0.0000 0.0000 0.0000 Sr
0.0000 0.0000 6.6780 Si
-2.0102 -1.1606 5.8041 Au
0.0000 -2.3212 7.5519 Au
-2.0102 1.1606 7.5519 Au
2.0102 -1.1606 5.8041 Au
0.0000 2.3212 5.8041 Au
2.0102 1.1606 7.5519 Au
```

The 12 most intense peaks (10 to 80 degrees two-theta), in order of falling intensity:
two_theta	I (rel.)
31.1	100
30.8	51
45.9	40
50.9	40
41.2	32
40.9	31
20.1	30
42.9	29
76.1	20
54.0	19
37.0	19
63.2	17

Record 3
This entry pairs a crystal structure of Sr3Si2Au7 with its computed powder diffraction line list. Radiation: Cu Ka. Structure: a GGA-PBE-relaxed structure.
Peak positions follow from Bragg's law for the DFT cell and can differ from measured ones.

Crystal structure
```
Sr3Si2Au7
1.0
-2.2563 2.2563 13.9117
2.2563 -2.2563 13.9117
2.2563 2.2563 -13.9117
Sr Si Au
3 2 7
Cartesian
0.0000 0.0000 0.0000 Sr
0.0000 0.0000 4.8552 Sr
0.0000 0.0000 22.9683 Sr
0.0000 0.0000 10.5570 Si
0.0000 0.0000 17.2665 Si
2.2563 0.0000 2.2946 Au
0.0000 0.0000 8.0543 Au
2.2563 0.0000 11.6171 Au
0.0000 0.0000 13.9117 Au
0.0000 2.2563 2.2946 Au
0.0000 0.0000 19.7692 Au
0.0000 2.2563 11.6171 Au
```

The 12 most intense peaks (10 to 80 degrees two-theta), in order of falling intensity:
two_theta	I (rel.)
34.1	100
40.0	65
30.8	53
28.7	34
68.8	27
35.2	25
57.8	22
67.3	20
52.2	20
32.2	19
48.5	17
54.3	15

Record 4
This entry pairs a crystal structure of Sr2ZnSi3Au4 with its computed powder diffraction line list. Radiation: Cu Ka. Structure: a GGA-PBE-relaxed structure.
Peak positions follow from Bragg's law for the DFT cell and can differ from measured ones.

Crystal structure
```
Sr2ZnSi3Au4
1.0
4.4693 0.0000 0.0000
0.0000 4.4693 0.0000
0.0000 0.0000 10.3415
Sr Zn Si Au
2 1 3 4
Cartesian
0.0000 2.2347 2.5732 Sr
2.2347 0.0000 7.7683 Sr
0.0000 0.0000 5.1708 Zn
0.0000 2.2347 9.0070 Si
2.2347 0.0000 1.3345 Si
2.2347 2.2347 5.1708 Si
0.0000 0.0000 0.0000 Au
0.0000 2.2347 6.5190 Au
2.2347 0.0000 3.8225 Au
2.2347 2.2347 0.0000 Au
```

The 12 most intense peaks (10 to 80 degrees two-theta), in order of falling intensity:
two_theta	I (rel.)
33.2	100
40.4	76
29.6	75
45.3	51
32.8	46
48.5	43
26.4	42
25.8	29
68.9	28
64.9	27
58.4	26
53.0	24

Record 5
This entry pairs a crystal structure of Sr2Zn3SiAu4 with its computed powder diffraction line list. Radiation: Cu Ka. Structure: a GGA-PBE-relaxed structure.
Peak positions follow from Bragg's law for the DFT cell and can differ from measured ones.

Crystal structure
```
Sr2Zn3SiAu4
1.0
4.6118 0.0000 0.0000
0.0000 4.6118 0.0000
0.0000 0.0000 10.1515
Sr Zn Si Au
2 3 1 4
Cartesian
0.0000 2.3059 2.5269 Sr
2.3059 0.0000 7.6245 Sr
0.0000 0.0000 0.0000 Zn
0.0000 2.3059 6.3594 Zn
2.3059 0.0000 3.7920 Zn
2.3059 2.3059 0.0000 Si
0.0000 0.0000 5.0757 Au
0.0000 2.3059 8.9530 Au
2.3059 0.0000 1.1985 Au
2.3059 2.3059 5.0757 Au
```

The 12 most intense peaks (10 to 80 degrees two-theta), in order of falling intensity:
two_theta	I (rel.)
39.1	100
32.6	91
32.8	76
28.8	72
45.3	66
51.9	42
56.4	34
17.5	30
75.1	29
21.2	24
26.1	24
66.7	23

Record 6
This entry pairs a crystal structure of SrZnSiAu6 with its computed powder diffraction line list. Radiation: Cu Ka. Structure: a GGA-PBE-relaxed structure.
Peak positions follow from Bragg's law for the DFT cell and can differ from measured ones.

Crystal structure
```
SrZnSiAu6
1.0
-3.5560 4.4663 5.8487
3.5560 -4.4663 5.8487
3.5560 4.4663 -5.8487
Sr Zn Si Au
2 2 2 12
Cartesian
0.0000 2.2331 2.4044 Sr
3.5560 2.2331 3.4443 Sr
1.7780 2.2331 -2.9243 Zn
1.7780 -2.2331 2.9243 Zn
0.0000 0.0000 0.0000 Si
0.0000 4.4663 0.0000 Si
2.1356 -0.0518 1.4635 Au
4.9763 -0.0518 1.4635 Au
3.5560 -2.2331 4.8772 Au
3.5560 2.2331 0.2255 Au
2.1356 4.4145 -1.4635 Au
1.4203 -0.0518 4.3852 Au
2.1356 4.5181 1.4635 Au
1.4203 0.0518 7.3122 Au
0.0000 2.2331 5.6232 Au
0.0000 6.6994 0.9715 Au
-1.4203 4.5181 4.3852 Au
1.4203 4.5181 4.3852 Au
```

The 12 most intense peaks (10 to 80 degrees two-theta), in order of falling intensity:
two_theta	I (rel.)
32.2	100
36.7	61
40.4	49
33.0	37
45.0	30
39.9	27
43.9	19
34.7	19
58.1	18
30.6	18
44.7	18
51.4	17

Record 7
This entry pairs a crystal structure of Tb4Si3Au with its computed powder diffraction line list. Radiation: Cu Ka. Structure: a GGA-PBE-relaxed structure.
Peak positions follow from Bragg's law for the DFT cell and can differ from measured ones.

Crystal structure
```
Tb4Si3Au
1.0
3.9764 0.0000 0.0000
0.0000 4.2511 0.0000
0.0000 0.0000 10.8318
Tb Si Au
4 3 1
Cartesian
0.0000 0.0000 0.0000 Tb
0.0000 2.1255 5.3243 Tb
1.9882 0.0000 7.7294 Tb
1.9882 2.1255 2.3412 Tb
0.0000 0.0000 3.0374 Si
1.9882 0.0000 4.6145 Si
1.9882 2.1255 10.1769 Si
0.0000 2.1255 8.4214 Au
```

The 12 most intense peaks (10 to 80 degrees two-theta), in order of falling intensity:
two_theta	I (rel.)
31.9	100
39.8	45
32.5	43
33.1	28
27.8	27
42.5	23
45.6	19
57.2	18
40.3	17
64.1	14
64.0	13
54.9	13

Record 8
This entry pairs a crystal structure of SiTeAu with its computed powder diffraction line list. Radiation: Cu Ka. Structure: a GGA-PBE-relaxed structure.
Peak positions follow from Bragg's law for the DFT cell and can differ from measured ones.

Crystal structure
```
SiTeAu
1.0
3.2472 0.0000 0.0000
-1.6177 5.7546 0.0000
-1.5648 -0.6676 8.5780
Si Te Au
2 2 2
Cartesian
-0.8107 2.2190 0.9722 Si
0.8754 2.8679 7.6058 Si
-0.8077 3.9560 2.8712 Te
0.8724 1.1310 5.7068 Te
0.8125 0.4800 1.3313 Au
-0.7478 4.6070 7.2467 Au
```

The 12 most intense peaks (10 to 80 degrees two-theta), in order of falling intensity:
two_theta	I (rel.)
26.9	100
43.9	62
28.9	60
15.4	56
32.1	56
32.9	52
10.3	51
33.1	49
24.9	48
48.5	40
44.1	39
20.7	38

Record 9
This entry pairs a crystal structure of SiTe4Au2 with its computed powder diffraction line list. Radiation: Cu Ka. Structure: a GGA-PBE-relaxed structure.
Peak positions follow from Bragg's law for the DFT cell and can differ from measured ones.

Crystal structure
```
SiTe4Au2
1.0
5.9445 0.0000 0.0000
0.0000 5.9445 0.0000
0.0000 0.0000 12.1735
Si Te Au
2 8 4
Cartesian
0.0000 0.0000 0.0000 Si
2.9722 2.9722 6.0868 Si
1.4118 1.4118 7.3954 Te
1.4118 4.5326 4.7781 Te
1.5604 1.5604 1.3087 Te
1.5604 4.3841 10.8648 Te
4.3841 1.5604 10.8648 Te
4.3841 4.3841 1.3087 Te
4.5326 1.4118 4.7781 Te
4.5326 4.5326 7.3954 Te
0.0000 2.9722 3.0434 Au
0.0000 2.9722 9.1301 Au
2.9722 0.0000 3.0434 Au
2.9722 0.0000 9.1301 Au
```

The 12 most intense peaks (10 to 80 degrees two-theta), in order of falling intensity:
two_theta	I (rel.)
25.8	100
42.5	48
50.8	30
33.6	28
43.0	25
21.1	25
36.4	18
78.5	15
14.6	14
49.9	13
68.0	10
57.6	9

Record 10
This entry pairs a crystal structure of ThSi2Au with its computed powder diffraction line list. Radiation: Cu Ka. Structure: a GGA-PBE-relaxed structure.
Peak positions follow from Bragg's law for the DFT cell and can differ from measured ones.

Crystal structure
```
ThSi2Au
1.0
4.4311 0.0000 0.0000
0.0000 11.2048 0.0000
0.0000 0.0000 6.4444
Th Si Au
4 8 4
Cartesian
1.1078 1.8670 0.0000 Th
1.1078 7.4694 3.2222 Th
3.3233 3.7354 3.2222 Th
3.3233 9.3378 0.0000 Th
1.1078 1.5145 3.3158 Si
1.1078 4.8642 1.4260 Si
1.1078 7.1169 0.0936 Si
1.1078 10.4666 4.6482 Si
3.3233 0.7382 4.6482 Si
3.3233 4.0879 0.0936 Si
3.3233 6.3406 1.4260 Si
3.3233 9.6903 3.3158 Si
1.1078 4.7056 5.1412 Au
1.1078 10.3080 1.9190 Au
3.3233 0.8968 1.9190 Au
3.3233 6.4992 5.1412 Au
```

The 12 most intense peaks (10 to 80 degrees two-theta), in order of falling intensity:
two_theta	I (rel.)
38.1	100
25.7	56
15.9	34
72.4	28
32.0	26
27.6	23
40.7	20
34.3	16
52.7	13
57.0	12
63.6	11
42.9	10

Record 11
This entry pairs a crystal structure of TlSiAu with its computed powder diffraction line list. Radiation: Cu Ka. Structure: a GGA-PBE-relaxed structure.
Peak positions follow from Bragg's law for the DFT cell and can differ from measured ones.

Crystal structure
```
TlSiAu
1.0
4.4418 0.0000 0.0000
0.0000 3.7834 0.0000
-2.1699 0.0000 7.9022
Tl Si Au
2 2 2
Cartesian
0.0274 0.0000 2.9762 Tl
2.2445 1.8917 4.9260 Tl
0.7213 2.7952 0.0061 Si
1.5506 0.9035 7.8961 Si
0.0301 3.7689 6.1499 Au
2.2418 1.8772 1.7523 Au
```

The 12 most intense peaks (10 to 80 degrees two-theta), in order of falling intensity:
two_theta	I (rel.)
31.6	100
32.8	33
34.7	30
34.9	30
41.8	24
40.6	19
11.2	16
22.5	13
64.7	11
68.3	11
48.1	11
60.7	11

Record 12
This entry pairs a crystal structure of Tl2Si3Au9 with its computed powder diffraction line list. Radiation: Cu Ka. Structure: a GGA-PBE-relaxed structure.
Peak positions follow from Bragg's law for the DFT cell and can differ from measured ones.

Crystal structure
```
Tl2Si3Au9
1.0
6.3089 -4.0703 0.0000
6.3089 4.0703 0.0000
-4.1216 0.0000 11.3004
Tl Si Au
4 6 18
Cartesian
0.5898 0.5943 3.0029 Tl
-1.4711 -0.5943 8.6531 Tl
9.9672 0.5943 2.6473 Tl
7.9064 -0.5943 8.2975 Tl
3.1544 2.0352 0.0000 Si
3.1021 2.0323 4.8793 Si
7.4549 2.0323 0.7709 Si
1.0936 -2.0352 5.6502 Si
1.0412 -2.0323 10.5294 Si
5.3941 -2.0323 6.4211 Si
5.3692 3.0874 0.0730 Au
3.5046 1.5337 2.4609 Au
1.1809 0.7078 6.2386 Au
5.1877 3.0874 5.5772 Au
1.1710 0.4652 10.3152 Au
3.2418 -0.7078 0.5884 Au
3.2177 0.7856 8.4753 Au
3.2318 -0.4652 4.6650 Au
7.0524 1.5337 3.1893 Au
1.4437 -1.5337 8.1111 Au
5.2644 0.4652 6.6354 Au
5.2785 -0.7856 2.8251 Au
5.2544 0.7078 10.7119 Au
7.3252 -0.4652 0.9852 Au
3.3084 -3.0874 5.7232 Au
7.3152 -0.7078 5.0618 Au
4.9916 -1.5337 8.8395 Au
3.1269 -3.0874 11.2274 Au
```

The 12 most intense peaks (10 to 80 degrees two-theta), in order of falling intensity:
two_theta	I (rel.)
33.7	100
39.5	96
28.8	84
32.4	71
28.6	61
39.3	59
47.0	58
33.9	56
43.0	53
31.7	53
34.2	45
36.1	40